Structure and computed powder diffraction line list of CsUNbO6 (the PBE geometry in Alexandria; CuKα).

Peak list (10 most intense, 5° ≤ 2θ ≤ 70°, low angle first)
- (1 0 1), d 6.212, 2θ = 14.26°, I = 49.6
- (2 0 0), d 3.780, 2θ = 23.54°, I = 18.7
- (1 2 1), d 3.341, 2θ = 26.69°, I = 100.0
- (0 1 3), d 3.303, 2θ = 27.00°, I = 19.9
- (1 0 3), d 3.275, 2θ = 27.23°, I = 42.2
- (2 1 1), d 3.256, 2θ = 27.39°, I = 32.7
- (0 2 2), d 3.205, 2θ = 27.84°, I = 41.8
- (2 0 2), d 3.106, 2θ = 28.74°, I = 43.8
- (3 2 1), d 2.087, 2θ = 43.36°, I = 21.9
- (2 2 4), d 1.930, 2θ = 47.08°, I = 47.3

Lattice parameters (Å, degrees): 7.559 7.925 10.900 90.00 90.00 90.00
Space group Imma (No. 74)
One atom of each set of equivalent atoms:
Cs: 0.000 0.250 0.117 [4 per cell]
U: 0.000 0.000 0.500 [4 per cell]
Nb: 0.250 0.250 0.750 [4 per cell]
O: 0.000 0.250 0.428 [4 per cell]
O: 0.000 0.250 0.805 [4 per cell]
O: 0.193 0.068 0.626 [16 per cell]

***

Structure and computed powder diffraction line list of Pr2HI5 (the PBE geometry in Alexandria; CuKα).

Peak list (10 most intense, 5° ≤ 2θ ≤ 70°, low angle first)
- (0 2 0), d 7.938, 2θ = 11.15°, I = 43.1
- (0 0 4), d 5.401, 2θ = 16.41°, I = 29.2
- (0 2 5), d 3.795, 2θ = 23.44°, I = 46.0
- (1 3 1), d 3.122, 2θ = 28.59°, I = 100.0
- (1 1 5), d 2.861, 2θ = 31.27°, I = 29.1
- (0 4 6), d 2.667, 2θ = 33.61°, I = 22.8
- (1 5 1), d 2.455, 2θ = 36.61°, I = 20.3
- (1 1 7), d 2.400, 2θ = 37.47°, I = 17.2
- (1 5 3), d 2.337, 2θ = 38.52°, I = 18.1
- (2 0 0), d 1.966, 2θ = 46.16°, I = 17.1

Lattice parameters (Å, degrees): 3.933 15.876 21.603 90.00 90.00 90.00
Space group Cmcm (No. 63)
One atom of each set of equivalent atoms:
Pr: 0.000 0.233 0.162 [8 per cell]
H: 0.000 0.228 0.750 [4 per cell]
I: 0.000 0.119 0.627 [8 per cell]
I: 0.000 0.357 0.569 [8 per cell]
I: 0.000 0.408 0.750 [4 per cell]

***

Structure and computed powder diffraction line list of NaTbAs2O8 (the PBE geometry in Alexandria; CuKα).

Peak list (10 most intense, 5° ≤ 2θ ≤ 70°, low angle first)
- (0 0 2), d 5.760, 2θ = 15.38°, I = 17.6
- (1 0 1), d 4.679, 2θ = 18.97°, I = 21.8
- (1 1 2), d 3.066, 2θ = 29.13°, I = 100.0
- (0 0 4), d 2.880, 2θ = 31.05°, I = 13.5
- (2 0 0), d 2.560, 2θ = 35.05°, I = 16.7
- (2 0 4), d 1.913, 2θ = 47.52°, I = 28.2
- (2 2 0), d 1.810, 2θ = 50.41°, I = 11.3
- (1 1 6), d 1.696, 2θ = 54.07°, I = 16.2
- (1 3 2), d 1.559, 2θ = 59.28°, I = 26.0
- (2 2 4), d 1.533, 2θ = 60.40°, I = 11.0

Lattice parameters (Å, degrees): 5.121 5.121 11.519 90.00 90.00 90.00
Space group I-4 (No. 82)
One atom of each set of equivalent atoms:
Na: 0.000 0.000 0.000 [2 per cell]
Tb: 0.000 0.500 0.250 [2 per cell]
As: 0.000 0.000 0.500 [2 per cell]
As: 0.000 0.500 0.750 [2 per cell]
O: 0.131 0.249 0.417 [8 per cell]
O: 0.148 0.749 0.826 [8 per cell]

***

Structure and computed powder diffraction line list of La2Au3 (the PBE geometry in Alexandria; CuKα).

Peak list (10 most intense, 5° ≤ 2θ ≤ 70°, low angle first)
- (1 1 0), d 3.817, 2θ = 23.31°, I = 25.9
- (1 3 1), d 2.852, 2θ = 31.37°, I = 100.0
- (1 7 0), d 2.814, 2θ = 31.81°, I = 33.7
- (0 10 1), d 2.463, 2θ = 36.49°, I = 67.8
- (0 0 2), d 2.364, 2θ = 38.06°, I = 42.4
- (1 9 1), d 2.185, 2θ = 41.32°, I = 36.2
- (2 0 0), d 1.924, 2θ = 47.23°, I = 34.1
- (1 7 2), d 1.810, 2θ = 50.42°, I = 18.6
- (2 10 1), d 1.517, 2θ = 61.09°, I = 31.1
- (2 0 2), d 1.493, 2θ = 62.20°, I = 30.2

Lattice parameters (Å, degrees): 3.851 28.847 4.729 90.00 90.00 90.00
Space group Cmcm (No. 63)
One atom of each set of equivalent atoms:
La: 0.000 0.071 0.250 [4 per cell]
La: 0.000 0.203 0.750 [4 per cell]
Au: 0.000 0.318 0.750 [4 per cell]
Au: 0.000 0.381 0.250 [4 per cell]
Au: 0.000 0.476 0.250 [4 per cell]

***

Structure and computed powder diffraction line list of SnAsAu (the PBE geometry in Alexandria; CuKα).

Peak list (10 most intense, 5° ≤ 2θ ≤ 70°, low angle first)
- (0 0 1), d 7.618, 2θ = 11.62°, I = 49.9
- (1 1 0), d 3.317, 2θ = 26.88°, I = 100.0
- (1 1 -1), d 3.276, 2θ = 27.22°, I = 57.8
- (2 0 1), d 3.220, 2θ = 27.71°, I = 36.1
- (0 0 3), d 2.540, 2θ = 35.34°, I = 92.7
- (3 1 -2), d 2.433, 2θ = 36.94°, I = 96.6
- (4 0 -3), d 2.403, 2θ = 37.43°, I = 36.1
- (1 1 -3), d 2.230, 2θ = 40.46°, I = 46.5
- (3 1 1), d 1.993, 2θ = 45.50°, I = 71.5
- (0 2 3), d 1.460, 2θ = 63.76°, I = 34.1

Lattice parameters (Å, degrees): 10.483 3.568 8.871 90.00 120.82 90.00
Space group C2/m (No. 12)
One atom of each set of equivalent atoms:
Sn: 0.217 0.000 0.309 [4 per cell]
As: 0.161 0.500 0.987 [4 per cell]
Au: 0.020 0.500 0.353 [4 per cell]

***

Structure and computed powder diffraction line list of Pm7Tl3N2 (the PBE geometry in Alexandria; CuKα).

Peak list (10 most intense, 5° ≤ 2θ ≤ 70°, low angle first)
- (1 5 1), d 2.878, 2θ = 31.08°, I = 100.0
- (2 0 0), d 2.517, 2θ = 35.68°, I = 18.8
- (0 10 0), d 2.499, 2θ = 35.94°, I = 17.5
- (0 0 2), d 2.462, 2θ = 36.50°, I = 17.7
- (2 10 0), d 1.773, 2θ = 51.54°, I = 12.5
- (2 0 2), d 1.760, 2θ = 51.96°, I = 12.9
- (3 5 1), d 1.514, 2θ = 61.24°, I = 14.8
- (1 15 1), d 1.506, 2θ = 61.59°, I = 12.9
- (1 5 3), d 1.490, 2θ = 62.34°, I = 14.1
- (2 10 2), d 1.439, 2θ = 64.79°, I = 12.6

Lattice parameters (Å, degrees): 5.033 24.991 4.924 90.00 90.00 90.00
Space group Cmmm (No. 65)
One atom of each set of equivalent atoms:
Pm: 0.000 0.000 0.000 [2 per cell]
Pm: 0.000 0.096 0.500 [4 per cell]
Pm: 0.000 0.199 0.000 [4 per cell]
Pm: 0.000 0.398 0.000 [4 per cell]
Tl: 0.000 0.307 0.500 [4 per cell]
Tl: 0.000 0.500 0.500 [2 per cell]
N: 0.000 0.101 0.000 [4 per cell]

***

Structure and computed powder diffraction line list of Pm2Ni2Ge3 (the PBE geometry in Alexandria; CuKα).

Peak list (10 most intense, 5° ≤ 2θ ≤ 70°, low angle first)
- (1 3 1), d 3.093, 2θ = 28.86°, I = 15.0
- (0 6 1), d 2.758, 2θ = 32.46°, I = 26.6
- (1 1 2), d 2.630, 2θ = 34.08°, I = 96.0
- (1 5 1), d 2.553, 2θ = 35.14°, I = 100.0
- (1 3 2), d 2.433, 2θ = 36.95°, I = 13.2
- (0 8 0), d 2.262, 2θ = 39.86°, I = 21.3
- (2 0 0), d 2.122, 2θ = 42.61°, I = 41.3
- (0 4 3), d 2.032, 2θ = 44.59°, I = 34.6
- (1 7 2), d 1.853, 2θ = 49.16°, I = 14.2
- (2 4 3), d 1.467, 2θ = 63.38°, I = 23.7

Lattice parameters (Å, degrees): 4.243 18.095 6.823 90.00 90.00 90.00
Space group Cmcm (No. 63)
One atom of each set of equivalent atoms:
Pm: 0.000 0.051 0.250 [4 per cell]
Pm: 0.000 0.160 0.750 [4 per cell]
Ni: 0.000 0.302 0.555 [8 per cell]
Ge: 0.000 0.222 0.250 [4 per cell]
Ge: 0.000 0.433 0.061 [8 per cell]

***

Structure and computed powder diffraction line list of La2Pu2Se7 (the PBE geometry in Alexandria; CuKα).

Peak list (10 most intense, 5° ≤ 2θ ≤ 70°, low angle first)
- (0 0 1), d 13.978, 2θ = 6.32°, I = 49.4
- (1 0 2), d 4.009, 2θ = 22.18°, I = 100.0
- (1 1 4), d 2.459, 2θ = 36.54°, I = 81.4
- (2 0 0), d 2.447, 2θ = 36.73°, I = 43.1
- (1 0 6), d 2.103, 2θ = 43.00°, I = 15.3
- (2 1 2), d 2.089, 2θ = 43.32°, I = 35.4
- (2 2 0), d 1.730, 2θ = 52.92°, I = 15.1
- (2 1 6), d 1.595, 2θ = 57.80°, I = 13.0
- (2 0 8), d 1.422, 2θ = 65.66°, I = 11.9
- (3 1 4), d 1.415, 2θ = 66.03°, I = 29.0

Lattice parameters (Å, degrees): 4.894 4.894 13.978 90.00 90.00 90.00
Space group P-4m2 (No. 115)
One atom of each set of equivalent atoms:
La: 0.000 0.500 0.143 [2 per cell]
Pu: 0.000 0.500 0.619 [2 per cell]
Se: 0.000 0.000 0.253 [2 per cell]
Se: 0.000 0.000 0.500 [1 per cell]
Se: 0.500 0.500 0.000 [1 per cell]
Se: 0.500 0.500 0.266 [2 per cell]
Se: 0.500 0.500 0.500 [1 per cell]

***

Structure and computed powder diffraction line list of Ac2Ni2Sn3 (the PBE geometry in Alexandria; CuKα).

Peak list (10 most intense, 5° ≤ 2θ ≤ 70°, low angle first)
- (1 3 1), d 3.447, 2θ = 25.84°, I = 14.7
- (1 5 0), d 3.088, 2θ = 28.92°, I = 15.9
- (0 6 1), d 3.067, 2θ = 29.12°, I = 23.7
- (1 1 2), d 2.891, 2θ = 30.93°, I = 100.0
- (1 5 1), d 2.848, 2θ = 31.41°, I = 88.2
- (0 8 0), d 2.528, 2θ = 35.51°, I = 17.7
- (2 0 0), d 2.389, 2θ = 37.65°, I = 45.5
- (0 4 3), d 2.213, 2θ = 40.78°, I = 28.6
- (1 7 2), d 2.054, 2θ = 44.08°, I = 16.9
- (2 4 3), d 1.623, 2θ = 56.70°, I = 22.0

Lattice parameters (Å, degrees): 4.779 20.227 7.382 90.00 90.00 90.00
Space group Cmcm (No. 63)
One atom of each set of equivalent atoms:
Ac: 0.000 0.044 0.250 [4 per cell]
Ac: 0.000 0.167 0.750 [4 per cell]
Ni: 0.000 0.297 0.557 [8 per cell]
Sn: 0.000 0.217 0.250 [4 per cell]
Sn: 0.000 0.427 0.052 [8 per cell]

***

Structure and computed powder diffraction line list of V3Ge2W (the PBE geometry in Alexandria; CuKα).

Peak list (10 most intense, 5° ≤ 2θ ≤ 70°, low angle first)
- (0 2 0), d 6.137, 2θ = 14.43°, I = 16.1
- (1 1 0), d 3.924, 2θ = 22.66°, I = 8.0
- (0 0 1), d 3.356, 2θ = 26.56°, I = 11.2
- (0 2 1), d 2.944, 2θ = 30.36°, I = 9.4
- (1 3 0), d 2.911, 2θ = 30.72°, I = 15.9
- (1 3 1), d 2.199, 2θ = 41.05°, I = 100.0
- (2 0 0), d 2.070, 2θ = 43.72°, I = 21.3
- (0 6 0), d 2.046, 2θ = 44.27°, I = 18.5
- (0 0 2), d 1.678, 2θ = 54.71°, I = 10.8
- (2 6 0), d 1.455, 2θ = 64.00°, I = 18.1

Lattice parameters (Å, degrees): 4.141 12.275 3.356 90.00 90.00 90.00
Space group Cmmm (No. 65)
One atom of each set of equivalent atoms:
V: 0.000 0.000 0.000 [2 per cell]
V: 0.000 0.319 0.000 [4 per cell]
Ge: 0.000 0.157 0.500 [4 per cell]
W: 0.000 0.500 0.500 [2 per cell]

***

Structure and computed powder diffraction line list of YAgMo4 (the PBE geometry in Alexandria; CuKα).

Peak list (9 most intense, 5° ≤ 2θ ≤ 70°, low angle first)
- (1 1 1), d 4.413, 2θ = 20.12°, I = 4.9
- (2 2 0), d 2.703, 2θ = 33.15°, I = 28.4
- (3 1 1), d 2.305, 2θ = 39.08°, I = 100.0
- (2 2 2), d 2.207, 2θ = 40.90°, I = 38.9
- (4 0 0), d 1.911, 2θ = 47.58°, I = 4.3
- (3 3 1), d 1.754, 2θ = 52.16°, I = 1.1
- (4 2 2), d 1.560, 2θ = 59.22°, I = 10.0
- (5 1 1), d 1.471, 2θ = 63.21°, I = 30.8
- (4 4 0), d 1.351, 2θ = 69.57°, I = 26.5

Lattice parameters (Å, degrees): 7.644 7.644 7.644 90.00 90.00 90.00
Space group F-43m (No. 216)
One atom of each set of equivalent atoms:
Y: 0.000 0.000 0.000 [4 per cell]
Ag: 0.250 0.250 0.750 [4 per cell]
Mo: 0.125 0.125 0.375 [16 per cell]